Theoretical powder diffraction line list of MgMn2P2H4O10 for a wavelength of 1.5418 Å, from a DFT-relaxed cell (PBE+U, Alexandria).

Structure:
Cell: 5.3346 5.5987 7.7974 Å, 102.64 108.50 99.56°
Atoms (fractional coordinates):
Mg  0.0000  0.0000  0.0000
Mn  0.4187  0.6665  0.1254
Mn  0.9009  0.1123  0.5877
P  0.3317  0.2395  0.3706
P  0.5178  0.1154  0.8995
H  0.7839  0.5765  0.4164
H  0.8099  0.5194  0.9331
H  0.9010  0.5738  0.7613
H  0.9767  0.7588  0.3401
O  0.1970  0.3021  0.5140
O  0.2024  0.0229  0.8120
O  0.2288  0.3522  0.2005
O  0.2405  0.9439  0.2661
O  0.5961  0.4086  0.9827
O  0.6293  0.9806  0.0532
O  0.6490  0.3373  0.4681
O  0.6775  0.0494  0.7674
O  0.8176  0.7416  0.3810
O  0.9697  0.6164  0.8997

Largest 8 diffraction maxima, by angle, 10 to 90 degrees two-theta:
Position (°2θ), d (Å), intensity
16.8, 5.283, 95
17.8, 4.973, 68
23.8, 3.744, 100
25.7, 3.469, 99
28.7, 3.106, 98
31.8, 2.813, 57
34.6, 2.589, 77
35.5, 2.530, 37